[1]
For Sm4Pd7Au6, a crystal structure in Alexandria, relaxed with PBE gives the simulated X-ray powder pattern in this record (Cu Kα (λ = 1.5418 Å)).
Kinematic intensities with the Lorentz-polarization factor, no thermal factor.

Most intense lines, 2θ = 10–90°, in order of rising 2θ:
32.21 deg, 2.779 Å, intensity 22; 35.38 deg, 2.537 Å, intensity 100; 41.08 deg, 2.197 Å, intensity 58; 43.69 deg, 2.072 Å, intensity 21; 59.49 deg, 1.554 Å, intensity 29; 71.15 deg, 1.325 Å, intensity 23

Cell and atoms:
Lattice parameters (Å, degrees): 8.7895 8.7895 8.7895 90.00 90.00 90.00
Space group Im-3m (No. 229)
Asymmetric unit:
Sm 0.2500 0.2500 0.2500 x8
Pd 0.0000 0.0000 0.0000 x2
Pd 0.0000 0.2500 0.5000 x12
Au 0.0000 0.0000 0.3038 x12



[2]
For Hf5HgRh4, a crystal structure in Alexandria, relaxed with PBE gives the simulated X-ray powder pattern in this record (Cu Kα (λ = 1.5418 Å)).
Kinematic intensities with the Lorentz-polarization factor, no thermal factor.

Most intense lines, 2θ = 10–90°, in order of rising 2θ:
37.82 deg, 2.379 Å, intensity 100; 39.68 deg, 2.272 Å, intensity 52; 57.37 deg, 1.606 Å, intensity 18; 67.04 deg, 1.396 Å, intensity 12; 70.78 deg, 1.331 Å, intensity 32; 85.46 deg, 1.136 Å, intensity 9

Cell and atoms:
Lattice parameters (Å, degrees): 3.2124 3.2124 17.6970 90.00 90.00 90.00
Space group P4/mmm (No. 123)
Asymmetric unit:
Hf 0.0000 0.0000 0.0000 x1
Hf 0.0000 0.0000 0.1903 x2
Hf 0.0000 0.0000 0.3797 x2
Hg 0.5000 0.5000 0.5000 x1
Rh 0.5000 0.5000 0.0945 x2
Rh 0.5000 0.5000 0.2829 x2



[3]
For FeMo2Ru, a crystal structure in Alexandria, relaxed with PBE gives the simulated X-ray powder pattern in this record (Cu Kα (λ = 1.5418 Å)).
Kinematic intensities with the Lorentz-polarization factor, no thermal factor.

Most intense lines, 2θ = 10–90°, in order of rising 2θ:
39.60 deg, 2.276 Å, intensity 44; 41.45 deg, 2.179 Å, intensity 59; 42.09 deg, 2.147 Å, intensity 100; 42.85 deg, 2.111 Å, intensity 91; 44.94 deg, 2.017 Å, intensity 28; 58.66 deg, 1.574 Å, intensity 27

Cell and atoms:
Lattice parameters (Å, degrees): 2.7266 4.3574 4.8469 90.00 95.41 90.00
Space group Pm (No. 6)
Asymmetric unit:
Fe 0.0000 0.0000 0.0000 x1
Mo 0.4316 0.0000 0.4945 x1
Mo 0.6306 0.5000 0.1782 x1
Ru 0.0380 0.5000 0.6894 x1